LiCu3: theoretical powder diffractogram (Cu Kα (weighted mean of Kα1 and Kα2)), based on a DFT-relaxed cell (GGA-PBE, the Materials Project).
Kinematic intensities with the Lorentz-polarization factor, no thermal factor.

Structure:
a b c (Å): 5.7582 5.7582 5.7582
angles (deg): 90.00 90.00 90.00
Space group Fm-3m (No. 225)
Unique sites:
Li 0.0000 0.0000 0.0000 (multiplicity 4)
Cu 0.0000 0.0000 0.5000 (multiplicity 4)
Cu 0.2500 0.2500 0.2500 (multiplicity 8)

Largest 8 diffraction maxima, by angle, 10 to 80 degrees two-theta:
(1 1 1), 2θ = 26.8°, I 25
(2 0 0), 2θ = 31.1°, I 13
(2 2 0), 2θ = 44.5°, I 100
(3 1 1), 2θ = 52.7°, I 11
(2 2 2), 2θ = 55.3°, I 3
(4 0 0), 2θ = 64.8°, I 15
(3 3 1), 2θ = 71.4°, I 4
(4 2 0), 2θ = 73.6°, I 4